Structure and simulated X-ray powder pattern of KPu2MoO8 (a cell relaxed with GGA+U; copper Kα).

Structural model:
Lattice parameters (Å, degrees): 7.2700 7.0096 6.9591 90.00 92.43 90.00
Space group C2/m (No. 12)
Unique sites:
K: 0.0000 0.0000 0.0000
Pu: 0.0096 0.5000 0.2548
Mo: 0.0000 0.0000 0.5000
O: 0.0062 0.2009 0.6956
O: 0.1630 0.5000 0.9813
O: 0.2072 0.5000 0.4946

Most intense lines, 10 to 90 degrees two-theta, by angle:
| h k l | d_spacing | Rel. int. |
| --- | --- | --- |
| 1 1 0 | 5.044 | 100 |
| 2 0 0 | 3.632 | 86 |
| 0 2 0 | 3.505 | 77 |
| 1 1 -2 | 2.903 | 81 |
| 1 1 2 | 2.824 | 69 |
| 2 2 0 | 2.522 | 43 |
| 3 1 -2 | 1.948 | 32 |
| 1 3 -2 | 1.885 | 28 |
| 3 1 2 | 1.877 | 28 |
| 1 3 2 | 1.863 | 26 |